No. 1
# LaGaSi3
Computed powder XRD pattern, a wavelength of 1.5418 Å. Input: a crystal structure in Alexandria, relaxed with GGA-PBE.

Atomic structure:
Cell: 4.830 4.830 4.830 Å, 90.00 90.00 90.00°
Sites, in units of the cell vectors:
La 0.000 0.000 0.000
Ga 0.500 0.500 0.500
Si 0.000 0.500 0.500
Si 0.500 0.000 0.500
Si 0.500 0.500 0.000

The 10 most intense peaks (10° ≤ 2θ ≤ 90°), sorted by position:
Position (°2θ)	I_rel
26.09	100
32.10	27
37.24	52
46.03	43
53.68	36
60.63	19
63.93	11
67.14	12
73.35	21
85.26	11



No. 2
# La3GaSi3
Computed powder XRD pattern, a wavelength of 1.5418 Å. Input: a crystal structure in Alexandria, relaxed with GGA-PBE.

Atomic structure:
Cell: 4.059 4.536 18.607 Å, 90.00 90.00 90.00°
Sites, in units of the cell vectors:
La 0.000 0.000 0.000
La 0.000 0.000 0.369
La 0.000 0.500 0.689
La 0.500 0.000 0.189
La 0.500 0.500 0.500
La 0.500 0.500 0.869
Ga 0.000 0.500 0.120
Ga 0.500 0.000 0.620
Si 0.000 0.000 0.544
Si 0.000 0.000 0.825
Si 0.000 0.500 0.252
Si 0.500 0.000 0.752
Si 0.500 0.500 0.044
Si 0.500 0.500 0.325

The 10 most intense peaks (10° ≤ 2θ ≤ 90°), sorted by position:
Position (°2θ)	I_rel
26.24	29
31.09	100
35.40	12
39.74	16
40.57	12
44.64	11
48.25	11
49.45	16
55.40	14
66.78	11



No. 3
# La12GaSi5
Computed powder XRD pattern, a wavelength of 1.5418 Å. Input: a crystal structure in Alexandria, relaxed with GGA-PBE.

Atomic structure:
Cell: 8.872 8.872 8.872 Å, 111.91 109.28 107.26°
Sites, in units of the cell vectors:
La 0.045 0.244 0.801
La 0.177 0.264 0.441
La 0.177 0.736 0.913
La 0.323 0.035 0.711
La 0.323 0.612 0.289
La 0.443 0.244 0.199
La 0.557 0.756 0.801
La 0.677 0.388 0.711
La 0.677 0.965 0.289
La 0.823 0.264 0.087
La 0.823 0.736 0.559
La 0.955 0.756 0.199
Ga 0.500 0.500 0.000
Si 0.000 0.000 0.000
Si 0.113 0.613 0.500
Si 0.378 0.000 0.378
Si 0.622 0.000 0.622
Si 0.887 0.387 0.500

The 10 most intense peaks (10° ≤ 2θ ≤ 90°), sorted by position:
Position (°2θ)	I_rel
24.65	24
26.87	22
27.40	27
28.32	16
30.26	100
32.46	74
32.90	34
34.08	15
36.17	29
56.33	16